Structure and computed PXRD pattern of Nd3Hg8 (DFT lattice parameters and positions (GGA-PBE); Cu Kα X-rays).

Peak list (10 most intense, 2θ = 10–90°, in order of rising 2θ)
2.705 Å, 2θ = 33.1°, I = 91; 2.538 Å, 2θ = 35.4°, I = 100; 1.851 Å, 2θ = 49.2°, I = 30; 1.598 Å, 2θ = 57.7°, I = 9; 1.495 Å, 2θ = 62.1°, I = 31; 1.466 Å, 2θ = 63.5°, I = 23; 1.428 Å, 2θ = 65.3°, I = 6; 1.269 Å, 2θ = 74.8°, I = 12; 1.194 Å, 2θ = 80.5°, I = 7; 1.149 Å, 2θ = 84.3°, I = 14

Crystal structure
Unit cell a=12.9201 b=12.9201 c=12.9201 alpha=22.66 beta=22.66 gamma=22.66
Element x y z (fractional)
Nd  0.0000  0.0000  0.0000
Nd  0.4507  0.4507  0.4507
Nd  0.5493  0.5493  0.5493
Hg  0.0851  0.0851  0.0851
Hg  0.1663  0.1663  0.1663
Hg  0.2738  0.2738  0.2738
Hg  0.3638  0.3638  0.3638
Hg  0.6362  0.6362  0.6362
Hg  0.7262  0.7262  0.7262
Hg  0.8337  0.8337  0.8337
Hg  0.9149  0.9149  0.9149

***

Structure and computed PXRD pattern of NdHg4 (DFT lattice parameters and positions (GGA-PBE); Cu Kα X-rays).

Peak list (10 most intense, 2θ = 10–90°, in order of rising 2θ)
2.729 Å, 2θ = 32.8°, I = 93; 2.619 Å, 2θ = 34.2°, I = 100; 2.532 Å, 2θ = 35.5°, I = 36; 2.468 Å, 2θ = 36.4°, I = 43; 2.042 Å, 2θ = 44.4°, I = 21; 1.767 Å, 2θ = 51.7°, I = 25; 1.675 Å, 2θ = 54.8°, I = 17; 1.573 Å, 2θ = 58.7°, I = 18; 1.412 Å, 2θ = 66.2°, I = 30; 1.386 Å, 2θ = 67.6°, I = 18

Crystal structure
Unit cell a=8.7755 b=8.7755 c=8.7755 alpha=147.34 beta=135.09 gamma=56.63
Element x y z (fractional)
Nd  0.3601  0.1101  0.2500
Nd  0.6399  0.8899  0.7500
Hg  0.0000  0.5000  0.5000
Hg  0.1490  0.8990  0.2500
Hg  0.1936  0.6967  0.4970
Hg  0.3003  0.3033  0.9970
Hg  0.5000  0.5000  0.0000
Hg  0.6997  0.6967  0.0030
Hg  0.8064  0.3033  0.5030
Hg  0.8510  0.1010  0.7500